Starting from a structure optimized by DFT (GGA-PBE), the PXRD pattern of TbPOs2C was simulated for Cu Kα (λ = 1.5418 Å).
No peak broadening, texture or thermal motion is included.

Structure:
```
10
Lattice="1.921 -5.563 0.000 1.921 5.563 0.000 0.000 0.000 7.048" Properties=species:S:1:pos:R:3 pbc="T T T"
Tb 1.921 5.067 5.286
Tb 1.921 -5.067 1.762
P 1.921 2.986 1.762
P 1.921 -2.986 5.286
Os 1.921 1.846 3.893
Os 1.921 1.846 6.679
Os 1.921 -1.846 0.369
Os 1.921 -1.846 3.155
C 1.921 0.000 0.000
C 1.921 0.000 3.524
```

Most intense lines, 10° ≤ 2θ ≤ 90°, low angle first:
2θ/deg, Rel. int.
27.6, 21.3
30.0, 36.0
33.6, 100.0
34.7, 29.5
35.5, 81.8
41.7, 32.1
46.0, 26.1
47.3, 30.1
62.3, 27.0
64.9, 28.1

---

Starting from a structure optimized by DFT (GGA-PBE), the PXRD pattern of OsPt4 was simulated for Cu Kα (λ = 1.5418 Å).
No peak broadening, texture or thermal motion is included.

Structure:
```
15
Lattice="2.796 0.000 0.000 -1.398 2.422 0.000 0.000 0.000 34.133" Properties=species:S:1:pos:R:3 pbc="T T T"
Os 0.000 0.000 0.000
Os 0.000 1.614 22.756
Os 1.398 0.807 11.378
Pt 0.000 0.000 6.859
Pt 0.000 0.000 13.555
Pt 0.000 0.000 20.578
Pt 0.000 0.000 27.274
Pt 0.000 1.614 2.178
Pt 0.000 1.614 9.200
Pt 0.000 1.614 15.896
Pt 0.000 1.614 29.615
Pt 1.398 0.807 4.518
Pt 1.398 0.807 18.237
Pt 1.398 0.807 24.933
Pt 1.398 0.807 31.956
```

Most intense lines, 10° ≤ 2θ ≤ 90°, low angle first:
2θ/deg, Rel. int.
39.5, 100.0
39.6, 32.1
45.9, 64.7
66.9, 21.7
67.1, 20.3
75.1, 0.8
80.6, 38.3
80.8, 11.9
85.0, 11.4
85.3, 3.4

---

Starting from a structure optimized by DFT (GGA-PBE), the PXRD pattern of PrGe2Rh2 was simulated for Cu Kα (λ = 1.5418 Å).
No peak broadening, texture or thermal motion is included.

Structure:
```
10
Lattice="4.195 0.000 0.000 0.000 4.195 0.000 0.000 0.000 10.614" Properties=species:S:1:pos:R:3 pbc="T T T"
Pr 0.000 0.000 0.000
Pr 2.097 2.097 5.307
Ge 0.000 0.000 3.982
Ge 0.000 0.000 6.632
Ge 2.097 2.097 1.325
Ge 2.097 2.097 9.289
Rh 0.000 2.097 2.654
Rh 0.000 2.097 7.961
Rh 2.097 0.000 2.654
Rh 2.097 0.000 7.961
```

Most intense lines, 10° ≤ 2θ ≤ 90°, low angle first:
2θ/deg, Rel. int.
33.1, 55.6
34.6, 100.0
43.1, 54.9
45.9, 17.4
48.0, 19.6
55.4, 25.3
61.0, 19.0
62.6, 17.8
66.5, 14.6
73.6, 21.7

---

Starting from a structure optimized by DFT (GGA-PBE), the PXRD pattern of SmCu2Si2 was simulated for Cu Kα (λ = 1.5418 Å).
No peak broadening, texture or thermal motion is included.

Structure:
```
10
Lattice="4.026 0.000 0.000 0.000 4.026 0.000 0.000 0.000 9.986" Properties=species:S:1:pos:R:3 pbc="T T T"
Sm 0.000 0.000 0.000
Sm 2.013 2.013 4.993
Cu 0.000 2.013 2.496
Cu 0.000 2.013 7.489
Cu 2.013 0.000 2.496
Cu 2.013 0.000 7.489
Si 0.000 0.000 3.803
Si 0.000 0.000 6.183
Si 2.013 2.013 1.190
Si 2.013 2.013 8.796
```

Most intense lines, 10° ≤ 2θ ≤ 90°, low angle first:
2θ/deg, Rel. int.
23.8, 38.6
35.0, 44.5
36.0, 16.1
36.3, 100.0
45.0, 37.4
51.0, 16.9
58.3, 20.2
58.9, 14.9
64.9, 15.5
77.4, 20.5

---

Starting from a structure optimized by DFT (GGA-PBE), the PXRD pattern of Sm4Si3S12 was simulated for Cu Kα (λ = 1.5418 Å).
No peak broadening, texture or thermal motion is included.

Structure:
```
38
Lattice="9.557 5.518 2.634 -9.557 5.518 2.634 0.000 -11.035 2.634" Properties=species:S:1:pos:R:3 pbc="T T T"
Sm 0.000 0.000 0.000
Sm -5.165 -5.458 3.649
Sm -4.392 0.059 2.332
Sm 2.145 -3.833 2.332
Sm 0.000 0.000 3.952
Sm 2.247 3.774 2.332
Sm -2.145 7.202 3.649
Sm 7.310 -1.744 3.649
Si -7.901 -2.215 4.042
Si -2.032 -3.085 2.725
Si -1.656 3.303 2.725
Si 3.688 -0.217 2.725
Si 5.869 -5.735 4.042
Si 2.032 7.950 4.042
S -5.798 2.522 2.649
S -1.778 -1.056 1.984
S -2.584 -6.594 3.811
S 0.715 -6.282 2.649
S -6.818 -3.576 5.241
S -3.759 -2.996 3.966
S -0.026 2.067 1.984
S 1.803 -1.011 1.984
S -0.312 -3.343 3.924
S -5.138 0.018 5.128
S -2.739 1.942 3.924
S -4.419 5.535 3.811
S -0.715 4.753 3.966
S -1.803 -1.011 5.936
S 2.553 -4.458 5.128
S 4.474 -1.757 3.966
S 3.051 1.401 3.924
S 5.083 3.760 2.649
S 1.778 -1.056 5.936
S 0.026 2.067 5.936
S 6.506 -4.116 5.241
S 7.003 1.059 3.811
S 0.312 7.692 5.241
S 2.584 4.441 5.128
```

Most intense lines, 10° ≤ 2θ ≤ 90°, low angle first:
2θ/deg, Rel. int.
18.1, 75.9
24.6, 100.0
26.7, 44.2
32.7, 49.0
35.4, 52.2
36.6, 26.8
37.4, 37.1
37.6, 40.6
42.5, 24.2
48.7, 24.8

---

Starting from a structure optimized by DFT (GGA-PBE), the PXRD pattern of Cs2RbScCl6 was simulated for Cu Kα (λ = 1.5418 Å).
No peak broadening, texture or thermal motion is included.

Structure:
```
10
Lattice="0.000 5.645 5.645 5.645 0.000 5.645 5.645 5.645 0.000" Properties=species:S:1:pos:R:3 pbc="T T T"
Cs 2.823 2.823 2.823
Cs 8.468 8.468 8.468
Rb 0.000 0.000 0.000
Sc 5.645 5.645 5.645
Cl 5.645 5.645 3.141
Cl 5.645 3.141 5.645
Cl 8.149 5.645 5.645
Cl 3.141 5.645 5.645
Cl 5.645 8.149 5.645
Cl 5.645 5.645 8.149
```

Most intense lines, 10° ≤ 2θ ≤ 90°, low angle first:
2θ/deg, Rel. int.
22.3, 100.0
27.4, 42.4
31.7, 67.1
39.1, 41.8
45.4, 43.4
51.2, 25.3
56.5, 13.9
61.5, 26.8
75.3, 16.1
88.3, 14.9